1.
This entry pairs a crystal structure of KBa2F6 with its computed powder X-ray diffraction pattern. Radiation: Cu Kα. Structure: a cell relaxed with PBE.

```
9
Lattice="-2.2932 2.9238 6.9600 2.2932 -2.9238 6.9600 2.2932 2.9238 -6.9600" Properties=species:S:1:pos:R:3 pbc="T T T"
K 0.0000 0.0000 0.0000
Ba 0.0000 0.0000 4.6673
Ba 0.0000 0.0000 9.2528
F 2.2932 -1.4371 4.5569
F 2.2932 1.5294 0.0000
F 0.0000 1.4866 2.4032
F 2.2932 1.4371 4.5569
F 0.0000 1.3944 6.9600
F 0.0000 4.3609 2.4032
```

The 12 most intense peaks (2θ from 10° to 90°), low angle first:
d = 6.960 Å, I 19; d = 5.391 Å, I 25; d = 3.635 Å, I 100; d = 3.609 Å, I 99; d = 3.262 Å, I 27; d = 2.320 Å, I 28; d = 2.293 Å, I 27; d = 2.177 Å, I 94; d = 1.952 Å, I 34; d = 1.939 Å, I 34; d = 1.796 Å, I 26; d = 1.631 Å, I 17



2.
This entry pairs a crystal structure of CuMo4Cl2 with its computed powder X-ray diffraction pattern. Radiation: Cu Kα. Structure: a cell relaxed with PBE.

```
14
Lattice="4.5252 0.0000 0.0000 0.0000 4.5252 0.0000 0.0000 0.0000 12.3298" Properties=species:S:1:pos:R:3 pbc="T T T"
Cu 0.0000 0.0000 0.0000
Cu 2.2626 2.2626 6.1649
Mo 0.0000 0.0000 2.5257
Mo 0.0000 0.0000 9.8041
Mo 0.0000 2.2626 0.0000
Mo 0.0000 2.2626 6.1649
Mo 2.2626 0.0000 0.0000
Mo 2.2626 0.0000 6.1649
Mo 2.2626 2.2626 3.6392
Mo 2.2626 2.2626 8.6907
Cl 0.0000 0.0000 4.8238
Cl 0.0000 0.0000 7.5061
Cl 2.2626 2.2626 1.3412
Cl 2.2626 2.2626 10.9887
```

The 12 most intense peaks (2θ from 10° to 90°), low angle first:
d = 6.165 Å, I 29; d = 4.248 Å, I 15; d = 3.200 Å, I 18; d = 3.082 Å, I 32; d = 2.840 Å, I 100; d = 2.263 Å, I 95; d = 2.165 Å, I 64; d = 1.824 Å, I 28; d = 1.600 Å, I 30; d = 1.564 Å, I 43; d = 1.394 Å, I 22; d = 1.119 Å, I 15